1.
Starting from a structure optimized by DFT (GGA-PBE), the X-ray powder pattern of Na3NpH2Se2O11 was computed for Cu Ka.

Largest 8 diffraction maxima, sorted by position, 10 to 80 degrees two-theta:
- d = 6.594 Å, rel. 35, (1 0 0)
- d = 5.926 Å, rel. 54, (0 1 1)
- d = 5.479 Å, rel. 100, (1 1 1)
- d = 3.784 Å, rel. 40, (0 2 0)
- d = 3.758 Å, rel. 32, (1 0 -2)
- d = 3.232 Å, rel. 39, (2 1 -1)
- d = 3.153 Å, rel. 38, (1 2 2)
- d = 3.036 Å, rel. 68, (0 1 -3)

Structural model:
Unit cell a=7.143 b=8.156 c=9.894 alpha=89.16 beta=84.08 gamma=68.18
Element x y z (fractional)
Na  0.036  0.082  0.182
Na  0.342  0.212  0.909
Na  0.388  0.725  0.399
Na  0.612  0.275  0.601
Na  0.658  0.788  0.091
Na  0.964  0.918  0.818
Np  0.413  0.271  0.258
Np  0.587  0.729  0.742
H  0.017  0.675  0.595
H  0.066  0.514  0.693
H  0.934  0.486  0.307
H  0.983  0.325  0.405
Se  0.205  0.129  0.587
Se  0.219  0.685  0.048
Se  0.781  0.315  0.952
Se  0.795  0.871  0.413
O  0.022  0.362  0.314
O  0.023  0.178  0.943
O  0.041  0.773  0.427
O  0.236  0.479  0.088
O  0.253  0.935  0.666
O  0.286  0.262  0.670
O  0.312  0.680  0.884
O  0.322  0.080  0.427
O  0.340  0.762  0.151
O  0.402  0.107  0.135
O  0.425  0.426  0.387
O  0.575  0.574  0.613
O  0.598  0.893  0.865
O  0.660  0.238  0.849
O  0.678  0.920  0.573
O  0.688  0.320  0.116
O  0.714  0.738  0.330
O  0.747  0.065  0.334
O  0.764  0.521  0.912
O  0.959  0.227  0.573
O  0.977  0.822  0.057
O  0.978  0.638  0.686


2.
Starting from a structure optimized by DFT (GGA-PBE), the X-ray powder pattern of SrNi2Ge was computed for Cu Ka.

Largest 8 diffraction maxima, sorted by position, 10 to 80 degrees two-theta:
- d = 5.250 Å, rel. 52, (0 0 2)
- d = 3.386 Å, rel. 25, (1 0 1)
- d = 2.956 Å, rel. 24, (1 0 2)
- d = 2.625 Å, rel. 48, (0 0 4)
- d = 2.502 Å, rel. 86, (1 0 3)
- d = 2.065 Å, rel. 100, (1 1 0)
- d = 1.623 Å, rel. 65, (1 1 4)
- d = 1.383 Å, rel. 21, (1 0 7)

Structural model:
Unit cell a=4.131 b=4.131 c=10.500 alpha=90.00 beta=90.00 gamma=120.00
Element x y z (fractional)
Sr  0.333  0.667  0.250
Sr  0.667  0.333  0.750
Ni  0.333  0.667  0.535
Ni  0.333  0.667  0.965
Ni  0.667  0.333  0.035
Ni  0.667  0.333  0.465
Ge  0.000  0.000  0.000
Ge  0.000  0.000  0.500